(1)
Structure and theoretical powder XRD pattern of Ta2OsSe (a crystal structure in Alexandria, relaxed with GGA-PBE; Cu Kα (λ = 1.5418 Å)).
Kinematic intensities with the Lorentz-polarization factor, no thermal factor.

Principal peaks in the range 10 to 90 degrees two-theta, sorted by position:
| 2θ (°) | intensity |
| --- | --- |
| 15.5 | 21 |
| 38.0 | 100 |
| 38.8 | 46 |
| 39.1 | 92 |
| 46.7 | 28 |
| 48.5 | 25 |
| 62.3 | 35 |
| 69.1 | 17 |
| 69.6 | 17 |
| 71.2 | 15 |

Structure:
```
Ta2OsSe
1.0
3.0459 0.0000 0.0000
0.0000 3.8904 0.0000
-1.2245 0.0000 5.7198
Ta Os Se
2 1 1
Direct
0.0146 0.0000 0.2371
0.9854 0.0000 0.7629
0.5000 0.5000 0.0000
0.5000 0.5000 0.5000
```

(2)
Structure and theoretical powder XRD pattern of KLiIn2Au4 (a crystal structure in Alexandria, relaxed with GGA-PBE; Cu Kα (λ = 1.5418 Å)).
Kinematic intensities with the Lorentz-polarization factor, no thermal factor.

Principal peaks in the range 10 to 90 degrees two-theta, sorted by position:
| 2θ (°) | intensity |
| --- | --- |
| 18.2 | 20 |
| 25.1 | 32 |
| 26.7 | 33 |
| 30.7 | 52 |
| 32.9 | 28 |
| 38.4 | 100 |
| 40.5 | 63 |
| 57.0 | 23 |
| 69.4 | 18 |
| 70.8 | 25 |

Structure:
```
KLiIn2Au4
1.0
2.3447 1.3537 9.7706
-2.3447 1.3537 9.7706
0.0000 -2.7075 9.7706
K Li In Au
1 1 2 4
Direct
0.0000 0.0000 0.0000
0.5000 0.5000 0.5000
0.2380 0.2380 0.2380
0.7620 0.7620 0.7620
0.1402 0.1402 0.1402
0.4094 0.4094 0.4094
0.5906 0.5906 0.5906
0.8598 0.8598 0.8598
```

Which formula does entry 1 have?
Ta2OsSe